Starting from a structure optimized by DFT (PBE), the PXRD pattern of Sm2UTe5 was simulated for copper Kα.

Crystal structure
a = 4.351 Å, b = 4.370 Å, c = 26.736 Å
α = 90.00°, β = 90.00°, γ = 90.00°
Atoms (fractional coordinates):
Sm 0.000 0.000 0.000
Sm 0.000 0.000 0.330
Sm 0.000 0.000 0.663
Sm 0.500 0.500 0.156
U 0.500 0.500 0.488
U 0.500 0.500 0.820
Te 0.000 0.000 0.122
Te 0.000 0.000 0.456
Te 0.000 0.000 0.787
Te 0.000 0.500 0.908
Te 0.500 0.000 0.243
Te 0.500 0.000 0.576
Te 0.500 0.000 0.908
Te 0.500 0.500 0.034
Te 0.500 0.500 0.365
Te 0.500 0.500 0.698

Principal peaks in the range 5 to 70 degrees two-theta, in order of rising 2θ:
hkl 0 1 3, 2θ 22.70, I 358
hkl 0 1 6, 2θ 28.64, I 253
hkl 1 1 0, 2θ 28.96, I 554
hkl 0 0 9, 2θ 30.08, I 292
hkl 1 1 3, 2θ 30.68, I 687
hkl 1 1 6, 2θ 35.40, I 1000
hkl 1 0 9, 2θ 36.60, I 754
hkl 0 2 0, 2θ 41.32, I 330
hkl 2 0 0, 2θ 41.51, I 329
hkl 0 1 15, 2θ 55.71, I 268
hkl 1 2 9, 2θ 56.39, I 219
hkl 2 2 0, 2θ 60.00, I 252


Starting from a structure optimized by DFT (PBE), the PXRD pattern of SmTh3 was simulated for copper Kα.

Crystal structure
a = 5.054 Å, b = 5.054 Å, c = 5.054 Å
α = 90.00°, β = 90.00°, γ = 90.00°
Atoms (fractional coordinates):
Sm 0.000 0.000 0.000
Th 0.000 0.500 0.500
Th 0.500 0.000 0.500
Th 0.500 0.500 0.000

Principal peaks in the range 5 to 70 degrees two-theta, in order of rising 2θ:
hkl 1 0 0, 2θ 17.55, I 21
hkl 1 1 0, 2θ 24.92, I 19
hkl 1 1 1, 2θ 30.64, I 1000
hkl 2 0 0, 2θ 35.53, I 510
hkl 2 1 0, 2θ 39.89, I 12
hkl 2 1 1, 2θ 43.88, I 10
hkl 2 2 0, 2θ 51.12, I 370
hkl 3 0 0, 2θ 54.47, I 7
hkl 3 1 1, 2θ 60.78, I 444
hkl 2 2 2, 2θ 63.80, I 128
hkl 3 2 1, 2θ 69.60, I 5


Starting from a structure optimized by DFT (PBE), the PXRD pattern of SmTh was simulated for copper Kα.

Crystal structure
a = 3.574 Å, b = 3.574 Å, c = 5.974 Å
α = 90.00°, β = 90.00°, γ = 120.00°
Atoms (fractional coordinates):
Sm 0.000 0.000 0.000
Th 0.667 0.333 0.500

Principal peaks in the range 5 to 70 degrees two-theta, in order of rising 2θ:
hkl 0 0 1, 2θ 14.83, I 51
hkl 1 0 0, 2θ 28.85, I 251
hkl 0 0 2, 2θ 29.92, I 274
hkl 1 0 1, 2θ 32.59, I 1000
hkl 1 0 2, 2θ 42.04, I 185
hkl 1 1 0, 2θ 51.12, I 189
hkl 1 0 3, 2θ 54.82, I 234
hkl 1 1 2, 2θ 60.37, I 231
hkl 2 0 1, 2θ 61.95, I 163
hkl 0 0 4, 2θ 62.16, I 35
hkl 2 0 2, 2θ 68.26, I 45
hkl 1 0 4, 2θ 69.94, I 42